For LiVF4, a DFT-relaxed cell (PBE+U, the Materials Project) gives the theoretical powder diffraction line list in this record (Cu Kα (λ = 1.5418 Å)).

Peak list (10 most intense, 2θ from 10° to 90°, by intensity)
2theta, I_rel, (hkl)
19.6, 1000, 1 0 -2
16.6, 660, -1 1 1
23.9, 448, 0 1 2
40.0, 404, 3 -1 0
26.6, 402, 0 2 -2
15.9, 391, 0 1 1
13.2, 370, 0 1 -1
41.9, 282, 0 3 2
19.1, 246, 1 -1 1
40.3, 242, 0 3 -3

Crystal structure
Lattice parameters (Å, degrees): 7.0473 8.3662 9.8327 96.35 106.54 102.25
Fractional positions:
Li  0.0134  0.0058  0.2628
Li  0.1854  0.5957  0.3560
Li  0.4831  0.6861  0.8572
Li  0.5169  0.3139  0.1428
Li  0.8146  0.4043  0.6440
Li  0.9866  0.9942  0.7372
V  0.0271  0.6972  0.9914
V  0.2400  0.2984  0.5811
V  0.4692  0.8804  0.2122
V  0.5308  0.1196  0.7878
V  0.7600  0.7016  0.4189
V  0.9729  0.3028  0.0086
F  0.0387  0.7105  0.4338
F  0.0421  0.5315  0.1347
F  0.0506  0.8434  0.8617
F  0.1621  0.8721  0.1706
F  0.1806  0.0974  0.4448
F  0.2474  0.3047  0.0289
F  0.2491  0.1398  0.7411
F  0.2624  0.4269  0.4354
F  0.3483  0.4888  0.7365
F  0.3484  0.7295  0.0285
F  0.4479  0.7428  0.3524
F  0.4849  0.8945  0.7893
F  0.5151  0.1055  0.2107
F  0.5521  0.2572  0.6476
F  0.6516  0.2705  0.9715
F  0.6517  0.5112  0.2635
F  0.7376  0.5731  0.5646
F  0.7509  0.8602  0.2589
F  0.7526  0.6953  0.9711
F  0.8194  0.9026  0.5552
F  0.8379  0.1279  0.8294
F  0.9494  0.1566  0.1383
F  0.9579  0.4685  0.8653
F  0.9613  0.2895  0.5662